Cs2AlRhF6: calculated PXRD pattern (Cu Ka), based on the GGA-PBE geometry in Alexandria.
Lines closer than 0.1° are merged.

Top 6 peaks for 2θ = 15–90°, by angle:
- d 3.096, 2θ 28.8, I 100
- d 2.528, 2θ 35.5, I 16
- d 2.189, 2θ 41.2, I 35
- d 1.787, 2θ 51.1, I 37
- d 1.548, 2θ 59.7, I 20
- d 1.171, 2θ 82.4, I 15

Structural model:
```
Cs2AlRhF6
1.0
-3.0982 3.0982 4.3716
3.0982 -3.0982 4.3716
3.0982 3.0982 -4.3716
Cs Al Rh F
2 1 1 6
Direct
0.2500 0.7500 0.5000
0.7500 0.2500 0.5000
0.0000 0.0000 0.0000
0.5000 0.5000 0.0000
0.2125 0.2125 0.0000
0.2119 0.2119 0.4237
0.2119 0.7881 0.0000
0.7881 0.2119 0.0000
0.7875 0.7875 0.0000
0.7881 0.7881 0.5763
```